Diffraction record for CoO2. The PXRD pattern is simulated, not measured: it uses the GGA+U geometry in the Materials Project and Cu Kα X-rays.
Lines closer than 0.1° are merged.

Atomic structure:
```
data_CoO2
_symmetry_space_group_name_H-M 'C 1 m 1'
_symmetry_Int_Tables_number 8
_symmetry_space_group_name_Hall 'C -2y'
_cell_length_a 9.8798
_cell_length_b 5.6687
_cell_length_c 18.7794
_cell_angle_alpha 90.00
_cell_angle_beta 100.68
_cell_angle_gamma 90.00
loop_
_atom_site_label
_atom_site_fract_x
_atom_site_fract_y
_atom_site_fract_z
_atom_site_occupancy
Co1 0.0000 0.0000 0.0000 1
Co2 0.0002 0.5000 0.4963 1
Co3 0.0252 0.2511 0.8424 1
Co4 0.0289 0.2425 0.3423 1
Co5 0.0541 0.5000 0.6849 1
Co6 0.1515 0.0000 0.4647 1
Co7 0.2466 0.5000 0.2461 1
Co8 0.2507 0.0000 0.7516 1
Co9 0.2745 0.2493 0.0897 1
Co10 0.2805 0.2550 0.5948 1
Co11 0.3004 0.0000 0.9322 1
Co12 0.3986 0.0000 0.2131 1
O1 0.0766 0.5000 0.2806 1
O2 0.0805 0.0000 0.2910 1
O3 0.0808 0.0000 0.7866 1
O4 0.0810 0.5000 0.7877 1
O5 0.1013 0.2430 0.0345 1
O6 0.1128 0.2453 0.5293 1
O7 0.1913 0.2255 0.4044 1
O8 0.1986 0.2421 0.8994 1
O9 0.2183 0.5000 0.6494 1
O10 0.2220 0.5000 0.1465 1
O11 0.2274 0.0000 0.6505 1
O12 0.2294 0.0000 0.1476 1
O13 0.3288 0.0000 0.0323 1
O14 0.3286 0.0000 0.5329 1
O15 0.3363 0.5000 0.0399 1
O16 0.3378 0.5000 0.5464 1
O17 0.3524 0.2417 0.7856 1
O18 0.3581 0.2418 0.2757 1
O19 0.4389 0.2225 0.1517 1
O20 0.4539 0.2425 0.6524 1
O21 0.4713 0.0000 0.8987 1
O22 0.4713 0.5000 0.8983 1
O23 0.4753 0.0000 0.3974 1
O24 0.4789 0.5000 0.4012 1
```

The 6 most intense peaks (10 to 90 degrees two-theta), in order of rising 2θ:
- 19.01°, d = 4.667 Å, rel. 80, hkl 2 0 -2
- 22.18°, d = 4.007 Å, rel. 51, hkl 2 0 2
- 31.42°, d = 2.848 Å, rel. 100, hkl 2 0 -6
- 37.13°, d = 2.421 Å, rel. 65, hkl 2 2 -2
- 37.23°, d = 2.415 Å, rel. 100, hkl 0 2 4
- 65.57°, d = 1.424 Å, rel. 52, hkl 6 2 -2

---

Diffraction record for Co5O8. The PXRD pattern is simulated, not measured: it uses the GGA+U geometry in the Materials Project and Cu Kα X-rays.
Lines closer than 0.1° are merged.

Atomic structure:
```
data_Co5O8
_symmetry_space_group_name_H-M 'F -4 3 m'
_symmetry_Int_Tables_number 216
_symmetry_space_group_name_Hall 'F -4 2 3'
_cell_length_a 8.0811
_cell_length_b 8.0811
_cell_length_c 8.0811
_cell_angle_alpha 90.00
_cell_angle_beta 90.00
_cell_angle_gamma 90.00
loop_
_atom_site_label
_atom_site_fract_x
_atom_site_fract_y
_atom_site_fract_z
_atom_site_occupancy
Co1 0.0000 0.0000 0.0000 1
Co2 0.1230 0.1230 0.6230 1
O1 0.1075 0.1075 0.3925 1
O2 0.1375 0.1375 0.8625 1
```

The 6 most intense peaks (10 to 90 degrees two-theta), in order of rising 2θ:
- 19.02°, d = 4.666 Å, rel. 78, hkl 1 1 1
- 36.89°, d = 2.437 Å, rel. 100, hkl 3 1 1
- 38.59°, d = 2.333 Å, rel. 21, hkl 2 2 2
- 44.86°, d = 2.020 Å, rel. 46, hkl 4 0 0
- 59.43°, d = 1.555 Å, rel. 40, hkl 5 1 1
- 65.32°, d = 1.429 Å, rel. 48, hkl 4 4 0

---

Diffraction record for CoO2. The PXRD pattern is simulated, not measured: it uses the GGA+U geometry in the Materials Project and Cu Kα X-rays.
Lines closer than 0.1° are merged.

Atomic structure:
```
data_CoO2
_symmetry_space_group_name_H-M 'I m m a'
_symmetry_Int_Tables_number 74
_symmetry_space_group_name_Hall '-I 2b 2'
_cell_length_a 5.7204
_cell_length_b 5.8033
_cell_length_c 7.5027
_cell_angle_alpha 90.00
_cell_angle_beta 90.00
_cell_angle_gamma 90.00
loop_
_atom_site_label
_atom_site_fract_x
_atom_site_fract_y
_atom_site_fract_z
_atom_site_occupancy
Co1 0.0000 0.2500 0.1374 1
Co2 0.2500 0.2500 0.7500 1
O1 0.0000 0.0369 0.7473 1
O2 0.2393 0.2500 0.9947 1
```

The 6 most intense peaks (10 to 90 degrees two-theta), in order of rising 2θ:
- 19.51°, d = 4.549 Å, rel. 45, hkl 1 0 1
- 30.82°, d = 2.902 Å, rel. 64, hkl 0 2 0
- 32.44°, d = 2.760 Å, rel. 52, hkl 1 1 2
- 37.03°, d = 2.428 Å, rel. 100, hkl 2 1 1
- 39.24°, d = 2.296 Å, rel. 49, hkl 0 1 3
- 58.92°, d = 1.567 Å, rel. 53, hkl 2 3 1

---

Diffraction record for CoO2. The PXRD pattern is simulated, not measured: it uses the GGA+U geometry in the Materials Project and Cu Kα X-rays.
Lines closer than 0.1° are merged.

Atomic structure:
```
data_CoO2
_symmetry_space_group_name_H-M 'C 1 2/m 1'
_symmetry_Int_Tables_number 12
_symmetry_space_group_name_Hall '-C 2y'
_cell_length_a 4.9288
_cell_length_b 2.8225
_cell_length_c 7.1128
_cell_angle_alpha 90.00
_cell_angle_beta 103.35
_cell_angle_gamma 90.00
loop_
_atom_site_label
_atom_site_fract_x
_atom_site_fract_y
_atom_site_fract_z
_atom_site_occupancy
Co1 0.0000 0.0000 0.0000 1
O1 0.1214 0.5000 0.8641 1
```

The 6 most intense peaks (10 to 90 degrees two-theta), in order of rising 2θ:
- 12.79°, d = 6.921 Å, rel. 100, hkl 0 0 1
- 25.75°, d = 3.460 Å, rel. 8, hkl 0 0 2
- 37.74°, d = 2.384 Å, rel. 7, hkl 1 1 -1
- 42.66°, d = 2.119 Å, rel. 5, hkl 2 0 1
- 42.87°, d = 2.110 Å, rel. 9, hkl 1 1 -2
- 51.29°, d = 1.781 Å, rel. 6, hkl 1 1 -3

---

Diffraction record for CoO2. The PXRD pattern is simulated, not measured: it uses the GGA+U geometry in the Materials Project and Cu Kα X-rays.
Lines closer than 0.1° are merged.

Atomic structure:
```
data_CoO2
_symmetry_space_group_name_H-M 'P -1'
_symmetry_Int_Tables_number 2
_symmetry_space_group_name_Hall '-P 1'
_cell_length_a 2.8203
_cell_length_b 2.8440
_cell_length_c 10.1994
_cell_angle_alpha 82.47
_cell_angle_beta 82.38
_cell_angle_gamma 60.29
loop_
_atom_site_label
_atom_site_fract_x
_atom_site_fract_y
_atom_site_fract_z
_atom_site_occupancy
Co1 0.0000 0.0000 0.0000 1
O1 0.3624 0.3641 0.9066 1
```

The 6 most intense peaks (10 to 90 degrees two-theta), in order of rising 2θ:
- 17.60°, d = 5.040 Å, rel. 100, hkl 0 0 2
- 26.53°, d = 3.360 Å, rel. 19, hkl 0 0 3
- 37.17°, d = 2.419 Å, rel. 17, hkl 1 0 1
- 39.48°, d = 2.282 Å, rel. 12, hkl 0 1 2
- 43.90°, d = 2.063 Å, rel. 24, hkl 0 1 3
- 49.71°, d = 1.834 Å, rel. 18, hkl 0 1 4

---

Diffraction record for CoO2. The PXRD pattern is simulated, not measured: it uses the GGA+U geometry in the Materials Project and Cu Kα X-rays.
Lines closer than 0.1° are merged.

Atomic structure:
```
data_CoO2
_symmetry_space_group_name_H-M 'C 1 2 1'
_symmetry_Int_Tables_number 5
_symmetry_space_group_name_Hall 'C 2y'
_cell_length_a 2.8597
_cell_length_b 4.9300
_cell_length_c 38.1521
_cell_angle_alpha 90.00
_cell_angle_beta 90.11
_cell_angle_gamma 90.00
loop_
_atom_site_label
_atom_site_fract_x
_atom_site_fract_y
_atom_site_fract_z
_atom_site_occupancy
Co1 0.2194 0.0000 0.1875 1
Co2 0.2392 0.9992 0.6870 1
Co3 0.2396 0.0052 0.9381 1
Co4 0.2399 0.9988 0.4365 1
O1 0.2158 0.6732 0.7131 1
O2 0.2182 0.6666 0.2121 1
O3 0.2209 0.3336 0.1632 1
O4 0.2346 0.8243 0.3386 1
O5 0.2383 0.6653 0.4608 1
O6 0.2383 0.6714 0.9625 1
O7 0.2411 0.3325 0.4119 1
O8 0.2411 0.3387 0.9135 1
```

The 6 most intense peaks (10 to 90 degrees two-theta), in order of rising 2θ:
- 18.61°, d = 4.769 Å, rel. 100, hkl 0 0 8
- 37.56°, d = 2.394 Å, rel. 28, hkl 1 1 -4
- 41.23°, d = 2.190 Å, rel. 15, hkl 0 2 8
- 46.52°, d = 1.952 Å, rel. 27, hkl 1 1 -12
- 53.46°, d = 1.714 Å, rel. 11, hkl 0 2 16
- 66.33°, d = 1.409 Å, rel. 14, hkl 1 3 4